For Li2Mn2P3O12, DFT lattice parameters and positions (GGA+U) gives the simulated powder diffractogram in this record (a wavelength of 1.5418 Å).

Crystal structure
Lattice parameters (Å, degrees): 8.599 8.599 8.800 120.58 120.58 60.68
Positions (direct):
Li (0.174, 0.326, 0.053)
Li (0.326, 0.174, 0.553)
Li (0.674, 0.826, 0.447)
Li (0.826, 0.674, 0.947)
Mn (0.140, 0.639, 0.855)
Mn (0.361, 0.860, 0.645)
Mn (0.639, 0.140, 0.355)
Mn (0.860, 0.361, 0.145)
P (0.033, 0.967, 0.250)
P (0.252, 0.460, 0.464)
P (0.460, 0.252, 0.964)
P (0.540, 0.748, 0.036)
P (0.748, 0.540, 0.536)
P (0.967, 0.033, 0.750)
O (0.012, 0.139, 0.219)
O (0.044, 0.779, 0.079)
O (0.085, 0.443, 0.270)
O (0.139, 0.012, 0.719)
O (0.207, 0.468, 0.617)
O (0.221, 0.956, 0.421)
O (0.270, 0.418, 0.943)
O (0.295, 0.632, 0.504)
O (0.368, 0.705, 0.996)
O (0.418, 0.270, 0.443)
O (0.443, 0.085, 0.770)
O (0.468, 0.207, 0.117)
O (0.532, 0.793, 0.883)
O (0.557, 0.915, 0.230)
O (0.582, 0.730, 0.557)
O (0.632, 0.295, 0.004)
O (0.705, 0.368, 0.496)
O (0.730, 0.582, 0.057)
O (0.779, 0.044, 0.579)
O (0.793, 0.532, 0.383)
O (0.861, 0.988, 0.281)
O (0.915, 0.557, 0.730)
O (0.956, 0.221, 0.921)
O (0.988, 0.861, 0.781)

Peak list (10 most intense, 10 to 90 degrees two-theta, by angle)
- 14.33°, rel. 34
- 20.18°, rel. 26
- 20.64°, rel. 100
- 23.83°, rel. 58
- 24.04°, rel. 61
- 24.52°, rel. 57
- 28.88°, rel. 64
- 29.81°, rel. 22
- 35.91°, rel. 25
- 46.62°, rel. 22